Diffraction record for KCuSbCl6. The PXRD pattern is calculated, not measured: it uses a crystal structure in Alexandria, relaxed with GGA-PBE and Cu Ka.

Cell and atoms:
```
data_KCuSbCl6
_chemical_formula_sum 'K1 Cu1 Sb1 Cl6'
_symmetry_space_group_name_H-M 'P 1'
_symmetry_Int_Tables_number 1
_cell_length_a 6.6064
_cell_length_b 6.8165
_cell_length_c 6.8684
_cell_angle_alpha 92.84
_cell_angle_beta 115.55
_cell_angle_gamma 94.16
loop_
_symmetry_equiv_pos_as_xyz
'x,y,z'
loop_
_atom_site_label
_atom_site_fract_x
_atom_site_fract_y
_atom_site_fract_z
K1 0.0000 0.0000 0.0000
Cu1 0.3006 0.4945 0.6703
Sb1 0.6429 0.4864 0.3296
Cl1 0.3328 0.6618 0.9847
Cl2 0.3404 0.2586 0.4401
Cl3 0.5774 0.7107 0.6608
Cl4 0.6032 0.2198 0.0485
Cl5 0.9689 0.3108 0.6325
Cl6 0.9710 0.7098 0.3408
```

Principal peaks in the range 2θ = 10–80°, in order of rising 2θ:
d/Å	2θ (°)	intensity
6.771	13.1	100.0
4.395	20.2	30.8
3.317	26.9	47.2
2.884	31.0	32.6
2.611	34.4	34.2
2.358	38.2	33.4



Diffraction record for K3Cu2SbCl9. The PXRD pattern is calculated, not measured: it uses a crystal structure in Alexandria, relaxed with GGA-PBE and Cu Ka.

Cell and atoms:
```
data_K3Cu2SbCl9
_chemical_formula_sum 'K3 Cu2 Sb1 Cl9'
_symmetry_space_group_name_H-M 'P 1'
_symmetry_Int_Tables_number 1
_cell_length_a 7.1313
_cell_length_b 7.1313
_cell_length_c 8.8679
_cell_angle_alpha 90.00
_cell_angle_beta 90.00
_cell_angle_gamma 120.00
loop_
_symmetry_equiv_pos_as_xyz
'x,y,z'
loop_
_atom_site_label
_atom_site_fract_x
_atom_site_fract_y
_atom_site_fract_z
K1 0.0000 0.0000 0.0000
K2 0.3333 0.6667 0.7055
K3 0.6667 0.3333 0.2945
Cu1 0.3333 0.6667 0.1459
Cu2 0.6667 0.3333 0.8541
Sb1 0.0000 0.0000 0.5000
Cl1 0.0000 0.5000 0.0000
Cl2 0.1716 0.3433 0.3243
Cl3 0.1716 0.8284 0.3243
Cl4 0.3433 0.1716 0.6757
Cl5 0.5000 0.0000 0.0000
Cl6 0.5000 0.5000 0.0000
Cl7 0.6567 0.8284 0.3243
Cl8 0.8284 0.1716 0.6757
Cl9 0.8284 0.6567 0.6757
```

Principal peaks in the range 2θ = 10–80°, in order of rising 2θ:
d/Å	2θ (°)	intensity
5.068	17.5	83.4
3.602	24.7	38.6
3.566	25.0	39.4
2.534	35.4	100.0
1.801	50.7	28.1
1.783	51.2	32.0



Diffraction record for KSmCuCl5. The PXRD pattern is calculated, not measured: it uses a crystal structure in Alexandria, relaxed with GGA-PBE and Cu Ka.

Cell and atoms:
```
data_KSmCuCl5
_chemical_formula_sum 'K2 Sm2 Cu2 Cl10'
_symmetry_space_group_name_H-M 'P 1'
_symmetry_Int_Tables_number 1
_cell_length_a 7.3976
_cell_length_b 7.3976
_cell_length_c 10.0808
_cell_angle_alpha 103.34
_cell_angle_beta 103.34
_cell_angle_gamma 107.19
loop_
_symmetry_equiv_pos_as_xyz
'x,y,z'
loop_
_atom_site_label
_atom_site_fract_x
_atom_site_fract_y
_atom_site_fract_z
K1 0.1463 0.8537 0.7500
K2 0.8537 0.1463 0.2500
Sm1 0.5000 0.5000 0.0000
Sm2 0.5000 0.5000 0.5000
Cu1 0.1878 0.8122 0.2500
Cu2 0.8122 0.1878 0.7500
Cl1 0.1153 0.2504 0.9265
Cl2 0.1831 0.5879 0.3792
Cl3 0.2504 0.1153 0.4265
Cl4 0.4119 0.5881 0.7500
Cl5 0.4121 0.8169 0.1208
Cl6 0.5879 0.1831 0.8792
Cl7 0.5881 0.4119 0.2500
Cl8 0.7496 0.8847 0.5735
Cl9 0.8169 0.4121 0.6208
Cl10 0.8847 0.7496 0.0735
```

Principal peaks in the range 2θ = 10–80°, in order of rising 2θ:
d/Å	2θ (°)	intensity
6.691	13.2	69.2
4.564	19.4	100.0
4.045	22.0	52.5
3.662	24.3	59.1
3.563	25.0	43.8
2.230	40.4	28.0



Diffraction record for K2Cu2SnCl6. The PXRD pattern is calculated, not measured: it uses a crystal structure in Alexandria, relaxed with GGA-PBE and Cu Ka.

Cell and atoms:
```
data_K2Cu2SnCl6
_chemical_formula_sum 'K2 Cu2 Sn1 Cl6'
_symmetry_space_group_name_H-M 'P 1'
_symmetry_Int_Tables_number 1
_cell_length_a 7.3599
_cell_length_b 7.3599
_cell_length_c 7.6740
_cell_angle_alpha 115.45
_cell_angle_beta 115.45
_cell_angle_gamma 61.46
loop_
_symmetry_equiv_pos_as_xyz
'x,y,z'
loop_
_atom_site_label
_atom_site_fract_x
_atom_site_fract_y
_atom_site_fract_z
K1 0.2281 0.2281 0.1947
K2 0.7719 0.7719 0.8053
Cu1 0.4580 0.4580 0.7991
Cu2 0.5420 0.5420 0.2009
Sn1 0.0000 0.0000 0.5000
Cl1 0.1888 0.6868 0.1835
Cl2 0.2527 0.2527 0.6243
Cl3 0.3132 0.8112 0.8165
Cl4 0.6868 0.1888 0.1835
Cl5 0.7473 0.7473 0.3757
Cl6 0.8112 0.3132 0.8165
```

Principal peaks in the range 2θ = 10–80°, in order of rising 2θ:
d/Å	2θ (°)	intensity
5.479	16.2	54.4
5.352	16.6	78.0
3.674	24.2	89.9
3.350	26.6	100.0
2.545	35.3	57.2
2.215	40.7	59.4



Diffraction record for KSr3Cu4Cl12. The PXRD pattern is calculated, not measured: it uses a crystal structure in Alexandria, relaxed with GGA-PBE and Cu Ka.

Cell and atoms:
```
data_KSr3Cu4Cl12
_chemical_formula_sum 'K1 Sr3 Cu4 Cl12'
_symmetry_space_group_name_H-M 'P 1'
_symmetry_Int_Tables_number 1
_cell_length_a 9.0382
_cell_length_b 9.0382
_cell_length_c 9.0382
_cell_angle_alpha 104.69
_cell_angle_beta 104.69
_cell_angle_gamma 104.69
loop_
_symmetry_equiv_pos_as_xyz
'x,y,z'
loop_
_atom_site_label
_atom_site_fract_x
_atom_site_fract_y
_atom_site_fract_z
K1 0.0000 0.0000 0.0000
Sr1 0.0000 0.5512 0.4488
Sr2 0.4488 0.0000 0.5512
Sr3 0.5512 0.4488 0.0000
Cu1 0.0630 0.5000 0.9370
Cu2 0.5000 0.5000 0.5000
Cu3 0.5000 0.9370 0.0630
Cu4 0.9370 0.0630 0.5000
Cl1 0.0145 0.6491 0.7848
Cl2 0.0979 0.9021 0.5000
Cl3 0.2152 0.3509 0.9855
Cl4 0.3451 0.6549 0.5000
Cl5 0.3509 0.9855 0.2152
Cl6 0.5000 0.0979 0.9021
Cl7 0.5000 0.3451 0.6549
Cl8 0.6491 0.7849 0.0145
Cl9 0.6549 0.5000 0.3451
Cl10 0.7849 0.0145 0.6491
Cl11 0.9021 0.5000 0.0979
Cl12 0.9855 0.2152 0.3509
```

Principal peaks in the range 2θ = 10–80°, in order of rising 2θ:
d/Å	2θ (°)	intensity
4.309	20.6	45.7
4.111	21.6	100.0
2.914	30.7	27.2
2.511	35.8	24.3
2.182	41.4	20.3
1.985	45.7	18.4



Diffraction record for KTbCu2Cl8. The PXRD pattern is calculated, not measured: it uses a crystal structure in Alexandria, relaxed with GGA-PBE and Cu Ka.

Cell and atoms:
```
data_KTbCu2Cl8
_chemical_formula_sum 'K1 Tb1 Cu2 Cl8'
_symmetry_space_group_name_H-M 'P 1'
_symmetry_Int_Tables_number 1
_cell_length_a 8.5320
_cell_length_b 8.5320
_cell_length_c 8.5320
_cell_angle_alpha 135.39
_cell_angle_beta 135.39
_cell_angle_gamma 64.93
loop_
_symmetry_equiv_pos_as_xyz
'x,y,z'
loop_
_atom_site_label
_atom_site_fract_x
_atom_site_fract_y
_atom_site_fract_z
K1 0.0000 0.0000 0.0000
Tb1 0.7500 0.2500 0.5000
Cu1 0.2500 0.7500 0.5000
Cu2 0.5000 0.5000 0.0000
Cl1 0.0200 0.9657 0.6082
Cl2 0.0343 0.6426 0.0543
Cl3 0.1451 0.2866 0.6020
Cl4 0.3574 0.4118 0.3918
Cl5 0.4569 0.8549 0.1416
Cl6 0.5882 0.9800 0.9457
Cl7 0.6846 0.5431 0.3980
Cl8 0.7134 0.3154 0.8584
```

Principal peaks in the range 2θ = 10–80°, in order of rising 2θ:
d/Å	2θ (°)	intensity
5.907	15.0	27.9
3.864	23.0	100.0
2.830	31.6	23.2
2.407	37.4	35.9
2.125	42.5	24.1
1.970	46.1	45.0



Diffraction record for KTlCu2Cl8. The PXRD pattern is calculated, not measured: it uses a crystal structure in Alexandria, relaxed with GGA-PBE and Cu Ka.

Cell and atoms:
```
data_KTlCu2Cl8
_chemical_formula_sum 'K1 Tl1 Cu2 Cl8'
_symmetry_space_group_name_H-M 'P 1'
_symmetry_Int_Tables_number 1
_cell_length_a 9.4447
_cell_length_b 9.4447
_cell_length_c 9.4447
_cell_angle_alpha 141.42
_cell_angle_beta 141.42
_cell_angle_gamma 55.70
loop_
_symmetry_equiv_pos_as_xyz
'x,y,z'
loop_
_atom_site_label
_atom_site_fract_x
_atom_site_fract_y
_atom_site_fract_z
K1 0.0000 0.0000 0.0000
Tl1 0.2500 0.7500 0.5000
Cu1 0.5000 0.5000 0.0000
Cu2 0.7500 0.2500 0.5000
Cl1 0.2601 0.6471 0.0754
Cl2 0.3529 0.4283 0.6130
Cl3 0.4092 0.0142 0.0398
Cl4 0.5717 0.1847 0.9246
Cl5 0.6306 0.5908 0.6051
Cl6 0.8153 0.7399 0.3870
Cl7 0.9745 0.3694 0.9602
Cl8 0.9858 0.0255 0.3949
```

Principal peaks in the range 2θ = 10–80°, in order of rising 2θ:
d/Å	2θ (°)	intensity
8.351	10.6	36.8
5.845	15.2	34.8
3.901	22.8	100.0
3.033	29.5	29.9
2.498	36.0	52.8
1.920	47.3	31.2



Diffraction record for K2TlCu2Cl7. The PXRD pattern is calculated, not measured: it uses a crystal structure in Alexandria, relaxed with GGA-PBE and Cu Ka.

Cell and atoms:
```
data_K2TlCu2Cl7
_chemical_formula_sum 'K2 Tl1 Cu2 Cl7'
_symmetry_space_group_name_H-M 'P 1'
_symmetry_Int_Tables_number 1
_cell_length_a 4.8981
_cell_length_b 4.8981
_cell_length_c 12.9967
_cell_angle_alpha 100.86
_cell_angle_beta 100.86
_cell_angle_gamma 90.00
loop_
_symmetry_equiv_pos_as_xyz
'x,y,z'
loop_
_atom_site_label
_atom_site_fract_x
_atom_site_fract_y
_atom_site_fract_z
K1 0.1802 0.1802 0.3611
K2 0.8198 0.8198 0.6389
Tl1 0.0000 0.0000 0.0000
Cu1 0.4022 0.4022 0.8060
Cu2 0.5978 0.5978 0.1940
Cl1 0.0949 0.5947 0.1891
Cl2 0.3074 0.3074 0.6148
Cl3 0.4053 0.9051 0.8109
Cl4 0.5000 0.5000 0.0000
Cl5 0.5947 0.0949 0.1891
Cl6 0.6926 0.6926 0.3852
Cl7 0.9051 0.4053 0.8109
```

Principal peaks in the range 2θ = 10–80°, in order of rising 2θ:
d/Å	2θ (°)	intensity
4.225	21.0	59.0
3.503	25.4	100.0
3.464	25.7	82.5
2.666	33.6	70.6
2.449	36.7	97.6
1.751	52.2	52.7



Diffraction record for LaCu2Cl8. The PXRD pattern is calculated, not measured: it uses a crystal structure in Alexandria, relaxed with GGA-PBE and Cu Ka.

Cell and atoms:
```
data_LaCu2Cl8
_chemical_formula_sum 'La1 Cu2 Cl8'
_symmetry_space_group_name_H-M 'P 1'
_symmetry_Int_Tables_number 1
_cell_length_a 7.7206
_cell_length_b 7.7206
_cell_length_c 7.7206
_cell_angle_alpha 127.48
_cell_angle_beta 127.48
_cell_angle_gamma 77.48
loop_
_symmetry_equiv_pos_as_xyz
'x,y,z'
loop_
_atom_site_label
_atom_site_fract_x
_atom_site_fract_y
_atom_site_fract_z
La1 0.0000 0.0000 0.0000
Cu1 0.2500 0.7500 0.5000
Cu2 0.7500 0.2500 0.5000
Cl1 0.0454 0.5479 0.8345
Cl2 0.2109 0.0454 0.4976
Cl3 0.2866 0.4521 0.4976
Cl4 0.4521 0.9546 0.1655
Cl5 0.5479 0.7134 0.5024
Cl6 0.7134 0.2109 0.1655
Cl7 0.7891 0.2866 0.8345
Cl8 0.9546 0.7891 0.5024
```

Principal peaks in the range 2θ = 10–80°, in order of rising 2θ:
d/Å	2θ (°)	intensity
5.943	14.9	75.4
3.768	23.6	100.0
2.962	30.2	59.3
2.431	37.0	37.9
2.259	39.9	58.4
2.034	44.6	39.4



Diffraction record for LaCuCl5. The PXRD pattern is calculated, not measured: it uses a crystal structure in Alexandria, relaxed with GGA-PBE and Cu Ka.

Cell and atoms:
```
data_LaCuCl5
_chemical_formula_sum 'La2 Cu2 Cl10'
_symmetry_space_group_name_H-M 'P 1'
_symmetry_Int_Tables_number 1
_cell_length_a 6.9748
_cell_length_b 6.9748
_cell_length_c 8.6831
_cell_angle_alpha 105.03
_cell_angle_beta 105.03
_cell_angle_gamma 83.26
loop_
_symmetry_equiv_pos_as_xyz
'x,y,z'
loop_
_atom_site_label
_atom_site_fract_x
_atom_site_fract_y
_atom_site_fract_z
La1 0.0637 0.9363 0.7500
La2 0.9363 0.0637 0.2500
Cu1 0.5000 0.5000 0.0000
Cu2 0.5000 0.5000 0.5000
Cl1 0.1125 0.7752 0.0285
Cl2 0.2023 0.3732 0.3752
Cl3 0.2248 0.8875 0.4715
Cl4 0.3732 0.2023 0.8752
Cl5 0.4033 0.5967 0.7500
Cl6 0.5967 0.4033 0.2500
Cl7 0.6268 0.7977 0.1248
Cl8 0.7752 0.1125 0.5285
Cl9 0.7977 0.6268 0.6248
Cl10 0.8875 0.2248 0.9715
```

Principal peaks in the range 2θ = 10–80°, in order of rising 2θ:
d/Å	2θ (°)	intensity
4.890	18.1	100.0
4.633	19.2	48.7
3.923	22.7	85.1
2.868	31.2	44.3
2.515	35.7	31.1
2.164	41.7	36.0



Diffraction record for Li5CuCl8. The PXRD pattern is calculated, not measured: it uses a crystal structure in Alexandria, relaxed with GGA-PBE and Cu Ka.

Cell and atoms:
```
data_Li5CuCl8
_chemical_formula_sum 'Li5 Cu1 Cl8'
_symmetry_space_group_name_H-M 'P 1'
_symmetry_Int_Tables_number 1
_cell_length_a 7.3747
_cell_length_b 7.3747
_cell_length_c 7.3747
_cell_angle_alpha 60.00
_cell_angle_beta 60.00
_cell_angle_gamma 60.00
loop_
_symmetry_equiv_pos_as_xyz
'x,y,z'
loop_
_atom_site_label
_atom_site_fract_x
_atom_site_fract_y
_atom_site_fract_z
Li1 0.0000 0.0000 0.0000
Li2 0.0888 0.6371 0.6371
Li3 0.6371 0.0888 0.6371
Li4 0.6371 0.6371 0.0888
Li5 0.6371 0.6371 0.6371
Cu1 0.2500 0.2500 0.2500
Cl1 0.3750 0.3750 0.3750
Cl2 0.3750 0.3750 0.8748
Cl3 0.3750 0.8748 0.3750
Cl4 0.3901 0.8700 0.8700
Cl5 0.8700 0.3901 0.8700
Cl6 0.8700 0.8700 0.3901
Cl7 0.8700 0.8700 0.8700
Cl8 0.8748 0.3750 0.3750
```

Principal peaks in the range 2θ = 10–80°, in order of rising 2θ:
d/Å	2θ (°)	intensity
5.215	17.0	21.9
3.145	28.4	23.9
3.011	29.7	100.0
2.607	34.4	33.9
1.844	49.4	57.6
1.572	58.7	32.4



Diffraction record for LiCu2Cl8. The PXRD pattern is calculated, not measured: it uses a crystal structure in Alexandria, relaxed with GGA-PBE and Cu Ka.

Cell and atoms:
```
data_LiCu2Cl8
_chemical_formula_sum 'Li1 Cu2 Cl8'
_symmetry_space_group_name_H-M 'P 1'
_symmetry_Int_Tables_number 1
_cell_length_a 7.6711
_cell_length_b 7.6711
_cell_length_c 7.6711
_cell_angle_alpha 127.62
_cell_angle_beta 127.62
_cell_angle_gamma 77.24
loop_
_symmetry_equiv_pos_as_xyz
'x,y,z'
loop_
_atom_site_label
_atom_site_fract_x
_atom_site_fract_y
_atom_site_fract_z
Li1 0.0000 0.0000 0.0000
Cu1 0.2500 0.7500 0.5000
Cu2 0.7500 0.2500 0.5000
Cl1 0.0353 0.5422 0.8243
Cl2 0.2110 0.0353 0.4931
Cl3 0.2821 0.4578 0.4931
Cl4 0.4578 0.9647 0.1757
Cl5 0.5422 0.7179 0.5069
Cl6 0.7179 0.2110 0.1757
Cl7 0.7890 0.2821 0.8243
Cl8 0.9647 0.7890 0.5069
```

Principal peaks in the range 2θ = 10–80°, in order of rising 2θ:
d/Å	2θ (°)	intensity
4.788	18.5	100.0
3.741	23.8	47.0
2.936	30.4	59.3
2.413	37.3	34.5
2.244	40.2	41.3
1.742	52.5	37.3